The following is a simulated PXRD pattern of CsMgCr2F8. It was derived from a DFT-relaxed cell (PBE+U, Alexandria), using λ = 1.5418 Å (Cu Kα).
Lines closer than 0.1° are merged.

Peak list (10 most intense, 10 to 90 degrees two-theta, sorted by position)
- hkl 1 0 0, 18.69 deg, intensity 222
- hkl 1 0 1, 21.99 deg, intensity 1000
- hkl 0 0 2, 23.08 deg, intensity 210
- hkl 0 1 2, 29.87 deg, intensity 464
- hkl 1 1 0, 32.68 deg, intensity 485
- hkl 0 2 1, 39.74 deg, intensity 305
- hkl 2 -1 2, 40.39 deg, intensity 321
- hkl 0 1 4, 51.17 deg, intensity 207
- hkl 3 -1 1, 52.36 deg, intensity 199
- hkl 3 0 0, 58.32 deg, intensity 197

Cell lengths 5.481, 5.481, 7.706 Å; angles 90.00, 90.00, 120.00 degrees
Atoms (fractional coordinates):
Cs1 0.000 0.000 0.000
Mg1 0.000 0.000 0.500
Cr1 0.333 0.667 0.601
Cr2 0.667 0.333 0.399
F1 0.051 0.705 0.380
F2 0.295 0.346 0.380
F3 0.333 0.667 0.845
F4 0.346 0.051 0.620
F5 0.654 0.949 0.380
F6 0.667 0.333 0.155
F7 0.705 0.654 0.620
F8 0.949 0.295 0.620